Computed PXRD pattern of Fe5Tc4 for Cu Kα (λ = 1.5418 Å), from a structure optimized by DFT (PBE).

Structure:
```
18
Lattice="7.142 0.000 0.000 -3.571 6.186 0.000 0.000 0.000 5.125" Properties=species:S:1:pos:R:3 pbc="T T T"
Fe -1.189 2.059 1.281
Fe -2.382 4.127 3.844
Fe 2.378 0.000 1.281
Fe 1.189 2.059 3.844
Fe 0.000 4.124 0.000
Fe 0.000 4.124 2.563
Fe 4.765 0.000 3.844
Fe 3.571 2.062 0.000
Fe 3.571 2.062 2.563
Fe 2.382 4.127 1.281
Tc 0.000 0.000 0.000
Tc 0.000 0.000 2.563
Tc -1.214 2.103 3.844
Tc -2.357 4.082 1.281
Tc 2.429 0.000 3.844
Tc 1.214 2.103 1.281
Tc 4.714 0.000 1.281
Tc 2.357 4.082 3.844
```

Peak list (10 most intense, 10° ≤ 2θ ≤ 80°, most intense first)
index  two_theta  I/Imax
3 0 0  43.9  100
1 1 2  43.5  89
2 2 2  63.5  27
1 1 1  30.5  13
3 0 2  57.4  12
0 0 2  35.0  9
0 0 4  74.0  7
1 0 0  14.3  4
2 2 1  54.4  3
4 1 1  72.4  2